Entry 1:
Computed powder XRD pattern of SrCa6Mg5 for Cu Kα X-rays, from a structure optimized by DFT (PBE).
No peak broadening, texture or thermal motion is included.

Structural model:
abc: 5.560 8.751 8.765
angles: 90.00 108.27 90.00
Positions (direct):
1 Sr 0.000 0.000 0.000
2 Ca 0.173 0.268 0.346
3 Ca 0.173 0.732 0.346
4 Ca 0.500 0.279 0.000
5 Ca 0.500 0.721 0.000
6 Ca 0.827 0.268 0.654
7 Ca 0.827 0.732 0.654
8 Mg 0.000 0.500 0.000
9 Mg 0.333 0.000 0.668
10 Mg 0.333 0.500 0.668
11 Mg 0.667 0.000 0.332
12 Mg 0.667 0.500 0.332

Largest 6 diffraction maxima, in order of falling intensity, 5 to 70 degrees two-theta:
30.59 deg, d = 2.923 Å, I 100; 32.23 deg, d = 2.777 Å, I 44; 56.45 deg, d = 1.630 Å, I 16; 41.27 deg, d = 2.188 Å, I 9; 53.28 deg, d = 1.719 Å, I 9; 46.33 deg, d = 1.960 Å, I 8


Entry 2:
Computed powder XRD pattern of Sr2CaMg12Tl3 for Cu Kα X-rays, from a structure optimized by DFT (PBE).
No peak broadening, texture or thermal motion is included.

Structural model:
abc: 10.045 10.045 10.045
angles: 52.19 52.19 52.19
Positions (direct):
1 Sr 0.081 0.081 0.081
2 Sr 0.919 0.919 0.919
3 Ca 0.500 0.500 0.500
4 Mg 0.046 0.681 0.681
5 Mg 0.286 0.286 0.640
6 Mg 0.286 0.640 0.286
7 Mg 0.319 0.319 0.954
8 Mg 0.319 0.954 0.319
9 Mg 0.360 0.714 0.714
10 Mg 0.640 0.286 0.286
11 Mg 0.681 0.046 0.681
12 Mg 0.681 0.681 0.046
13 Mg 0.714 0.360 0.714
14 Mg 0.714 0.714 0.360
15 Mg 0.954 0.319 0.319
16 Tl 0.000 0.500 0.500
17 Tl 0.500 0.000 0.500
18 Tl 0.500 0.500 0.000

Largest 6 diffraction maxima, in order of falling intensity, 5 to 70 degrees two-theta:
23.50 deg, d = 3.786 Å, I 100; 10.22 deg, d = 8.653 Å, I 75; 24.25 deg, d = 3.671 Å, I 57; 27.05 deg, d = 3.296 Å, I 36; 40.84 deg, d = 2.209 Å, I 31; 35.52 deg, d = 2.527 Å, I 31


Entry 3:
Computed powder XRD pattern of SrCaMgZn for Cu Kα X-rays, from a structure optimized by DFT (PBE).
No peak broadening, texture or thermal motion is included.

Structural model:
abc: 3.808 3.808 8.366
angles: 90.00 90.00 90.00
Positions (direct):
1 Sr 0.000 0.000 0.000
2 Ca 0.000 0.000 0.551
3 Mg 0.500 0.500 0.291
4 Zn 0.500 0.500 0.757

Largest 6 diffraction maxima, in order of falling intensity, 5 to 70 degrees two-theta:
31.78 deg, d = 2.816 Å, I 100; 33.27 deg, d = 2.693 Å, I 47; 10.57 deg, d = 8.366 Å, I 35; 58.51 deg, d = 1.577 Å, I 33; 47.76 deg, d = 1.904 Å, I 16; 55.64 deg, d = 1.652 Å, I 16


Entry 4:
Computed powder XRD pattern of Ca2TbMg5 for Cu Kα X-rays, from a structure optimized by DFT (PBE).
No peak broadening, texture or thermal motion is included.

Structural model:
abc: 5.401 5.401 15.283
angles: 90.00 90.00 90.00
Positions (direct):
1 Ca 0.000 0.000 0.247
2 Ca 0.000 0.000 0.753
3 Ca 0.500 0.500 0.253
4 Ca 0.500 0.500 0.747
5 Tb 0.000 0.000 0.500
6 Tb 0.500 0.500 0.000
7 Mg 0.000 0.000 0.000
8 Mg 0.000 0.500 0.115
9 Mg 0.000 0.500 0.385
10 Mg 0.000 0.500 0.615
11 Mg 0.000 0.500 0.885
12 Mg 0.500 0.000 0.115
13 Mg 0.500 0.000 0.385
14 Mg 0.500 0.000 0.615
15 Mg 0.500 0.000 0.885
16 Mg 0.500 0.500 0.500

Largest 6 diffraction maxima, in order of falling intensity, 5 to 70 degrees two-theta:
33.17 deg, d = 2.701 Å, I 100; 17.41 deg, d = 5.093 Å, I 39; 59.26 deg, d = 1.559 Å, I 35; 23.29 deg, d = 3.820 Å, I 25; 24.01 deg, d = 3.706 Å, I 21; 47.61 deg, d = 1.910 Å, I 17